The following is a simulated XRD peak list of Cd3In2Se6. It was derived from a crystal structure in Alexandria, relaxed with PBE, using Cu Kα (weighted mean of Kα1 and Kα2).
Intensities are scaled so that the largest is 100.

Crystal structure
Cell: 8.1725 8.1725 8.1725 Å, 54.34 54.34 54.34°
Positions (direct):
Cd: 0.0035 0.3053 0.6912
Cd: 0.3053 0.6912 0.0035
Cd: 0.6912 0.0035 0.3053
In: 0.1658 0.1658 0.1658
In: 0.4998 0.4998 0.4998
Se: 0.1179 0.4729 0.7958
Se: 0.2928 0.2928 0.2928
Se: 0.4729 0.7958 0.1179
Se: 0.6271 0.6271 0.6271
Se: 0.7958 0.1179 0.4729
Se: 0.9411 0.9411 0.9411

Peak list (6 most intense, 2θ = 15–90°, by angle)
2theta	intensity
23.84	100
25.66	54
27.13	65
41.93	82
46.15	76
49.81	48